Starting from a GGA-PBE-relaxed structure, the powder diffractogram of Y5As4Cl was simulated for Cu Kα (λ = 1.5418 Å).
Kinematic intensities with the Lorentz-polarization factor, no thermal factor.

Crystal structure
a b c (Å): 10.8854 10.8854 10.8854
angles (deg): 158.14 149.20 38.08
Fractional positions:
Y (0.0000, 0.0000, 0.0000)
Y (0.1991, 0.1991, 0.0000)
Y (0.3902, 0.3902, 0.0000)
Y (0.6098, 0.6098, 0.0000)
Y (0.8009, 0.8009, 0.0000)
As (0.0974, 0.5974, 0.5000)
As (0.2989, 0.7989, 0.5000)
As (0.7011, 0.2011, 0.5000)
As (0.9026, 0.4026, 0.5000)
Cl (0.5000, 0.0000, 0.5000)

Top 10 peaks for 2θ = 10–90°, by angle:
2theta	d [Å]	intensity
30.68	2.914	100
30.94	2.890	50
43.87	2.064	19
44.00	2.058	17
44.13	2.052	72
54.65	1.680	19
54.76	1.676	17
72.65	1.301	21
73.08	1.295	15
80.82	1.189	12

=====

Starting from a GGA-PBE-relaxed structure, the powder diffractogram of H5Rh4 was simulated for Cu Kα (λ = 1.5418 Å).
Kinematic intensities with the Lorentz-polarization factor, no thermal factor.

Crystal structure
a b c (Å): 4.8062 4.8062 4.8062
angles (deg): 99.73 99.73 131.45
Fractional positions:
H (0.0000, 0.0000, 0.0000)
H (0.2105, 0.6004, 0.8109)
H (0.3996, 0.2105, 0.6101)
H (0.6004, 0.7895, 0.3899)
H (0.7895, 0.3996, 0.1891)
Rh (0.1048, 0.2981, 0.4029)
Rh (0.2981, 0.8952, 0.1933)
Rh (0.7019, 0.1048, 0.8067)
Rh (0.8952, 0.7019, 0.5971)

Top 10 peaks for 2θ = 10–90°, by angle:
2theta	d [Å]	intensity
20.27	4.381	15
26.76	3.332	17
39.73	2.269	100
45.93	1.976	16
46.34	1.959	33
67.30	1.391	21
67.62	1.385	10
80.78	1.190	12
81.38	1.182	23
85.62	1.134	11

=====

Starting from a GGA-PBE-relaxed structure, the powder diffractogram of Ac4Te3P was simulated for Cu Kα (λ = 1.5418 Å).
Kinematic intensities with the Lorentz-polarization factor, no thermal factor.

Crystal structure
a b c (Å): 8.1281 8.1281 4.6018
angles (deg): 90.00 90.00 108.74
Fractional positions:
Ac (0.2217, 0.2217, 0.5000)
Ac (0.2334, 0.7666, 0.0000)
Ac (0.7666, 0.2334, 0.0000)
Ac (0.7783, 0.7783, 0.5000)
Te (0.0000, 0.5000, 0.5000)
Te (0.5000, 0.0000, 0.5000)
Te (0.5000, 0.5000, 0.0000)
P (0.0000, 0.0000, 0.0000)

Top 10 peaks for 2θ = 10–90°, by angle:
2theta	d [Å]	intensity
23.11	3.848	12
23.56	3.776	12
27.01	3.301	100
38.01	2.367	12
38.56	2.335	50
39.15	2.301	13
47.24	1.924	12
48.20	1.888	14
55.69	1.651	12
62.95	1.477	20

=====

Starting from a GGA-PBE-relaxed structure, the powder diffractogram of HfZr3Ga2N was simulated for Cu Kα (λ = 1.5418 Å).
Kinematic intensities with the Lorentz-polarization factor, no thermal factor.

Crystal structure
a b c (Å): 7.9650 7.9650 7.9650
angles (deg): 149.20 148.70 44.49
Fractional positions:
Hf (0.0000, 0.0000, 0.0000)
Zr (0.1649, 0.6649, 0.5000)
Zr (0.5000, 0.5000, 0.0000)
Zr (0.8351, 0.3351, 0.5000)
Ga (0.3593, 0.8593, 0.5000)
Ga (0.6407, 0.1407, 0.5000)
N (0.0000, 0.5000, 0.5000)

Top 10 peaks for 2θ = 10–90°, by angle:
2theta	d [Å]	intensity
12.00	7.372	47
32.08	2.790	95
36.57	2.457	36
38.58	2.334	100
42.05	2.149	31
42.75	2.115	29
56.93	1.618	20
57.49	1.603	19
61.52	1.507	19
73.74	1.285	18

=====

Copy entry 1 word for word.
Starting from a GGA-PBE-relaxed structure, the powder diffractogram of Y5As4Cl was simulated for Cu Kα (λ = 1.5418 Å).
Kinematic intensities with the Lorentz-polarization factor, no thermal factor.

Crystal structure
a b c (Å): 10.8854 10.8854 10.8854
angles (deg): 158.14 149.20 38.08
Fractional positions:
Y (0.0000, 0.0000, 0.0000)
Y (0.1991, 0.1991, 0.0000)
Y (0.3902, 0.3902, 0.0000)
Y (0.6098, 0.6098, 0.0000)
Y (0.8009, 0.8009, 0.0000)
As (0.0974, 0.5974, 0.5000)
As (0.2989, 0.7989, 0.5000)
As (0.7011, 0.2011, 0.5000)
As (0.9026, 0.4026, 0.5000)
Cl (0.5000, 0.0000, 0.5000)

Top 10 peaks for 2θ = 10–90°, by angle:
2theta	d [Å]	intensity
30.68	2.914	100
30.94	2.890	50
43.87	2.064	19
44.00	2.058	17
44.13	2.052	72
54.65	1.680	19
54.76	1.676	17
72.65	1.301	21
73.08	1.295	15
80.82	1.189	12